1.
For La2Sm3In, the GGA-PBE geometry in Alexandria gives the simulated powder X-ray diffraction pattern in this record (Cu Kα (weighted mean of Kα1 and Kα2)).
Lines closer than 0.1° are merged.

Cell and atoms:
```
12
Lattice="4.9817 0.0000 0.0000 0.0000 15.5952 0.0000 0.0000 0.0000 4.9966" Properties=species:S:1:pos:R:3 pbc="T T T"
La 0.0000 2.5564 0.0000
La 0.0000 13.0388 0.0000
La 2.4909 5.2412 0.0000
La 2.4909 10.3540 0.0000
Sm 0.0000 0.0000 2.4983
Sm 0.0000 5.3113 2.4983
Sm 0.0000 10.2839 2.4983
Sm 2.4909 2.4863 2.4983
Sm 2.4909 7.7976 2.4983
Sm 2.4909 13.1090 2.4983
In 0.0000 7.7976 0.0000
In 2.4909 0.0000 0.0000
```

Most intense lines, 2θ from 10° to 90°, low angle first:
2θ (°), I/Imax, h k l
30.63, 1000, 1 3 1
34.51, 178, 0 6 0
35.95, 164, 0 0 2
36.06, 163, 2 0 0
50.72, 238, 2 6 0
51.83, 115, 2 0 2
59.43, 142, 1 9 1
61.34, 137, 1 3 3
61.49, 136, 3 3 1
63.77, 119, 2 6 2

---

2.
For LaSm2In3, the GGA-PBE geometry in Alexandria gives the simulated powder X-ray diffraction pattern in this record (Cu Kα (weighted mean of Kα1 and Kα2)).
Lines closer than 0.1° are merged.

Cell and atoms:
```
6
Lattice="3.8588 0.0000 0.0000 0.0000 3.8588 0.0000 0.0000 0.0000 11.6973" Properties=species:S:1:pos:R:3 pbc="T T T"
La 0.0000 0.0000 0.0000
Sm 0.0000 0.0000 3.9546
Sm 0.0000 0.0000 7.7426
In 1.9294 1.9294 2.0733
In 1.9294 1.9294 5.8486
In 1.9294 1.9294 9.6240
```

Most intense lines, 2θ from 10° to 90°, low angle first:
2θ (°), I/Imax, h k l
32.65, 1000, 1 0 3
32.82, 500, 1 1 0
46.59, 88, 0 0 6
47.10, 181, 2 0 0
58.16, 180, 1 1 6
58.49, 369, 2 1 3
68.41, 110, 2 0 6
77.50, 71, 1 0 9
78.31, 158, 3 1 0
87.21, 58, 2 2 6